Record 1
Diffraction record for EuGa3Pd. The X-ray powder pattern is computed, not measured: it uses a DFT-relaxed cell (PBE, the Materials Project) and λ = 1.5418 Å (Cu Kα).
Peak positions follow from Bragg's law for the DFT cell and can differ from measured ones.

Crystal structure
```
EuGa3Pd
1.0
3.2161 -5.2384 0.0000
3.2161 5.2384 0.0000
0.0000 0.0000 5.9320
Eu Ga Pd
2 6 2
direct
0.2338 0.7662 0.7500
0.7662 0.2338 0.2500
0.2847 0.2847 0.0000
0.2847 0.2847 0.5000
0.3359 0.6641 0.2500
0.6641 0.3359 0.7500
0.7153 0.7153 0.0000
0.7153 0.7153 0.5000
0.0974 0.9026 0.2500
0.9026 0.0974 0.7500
```

The 10 most intense peaks (2θ from 5° to 70°), by intensity:
2θ/deg, intensity
32.86, 100
41.41, 90
32.67, 62
34.76, 58
52.40, 26
27.74, 24
55.26, 22
47.31, 20
37.54, 20
48.18, 19

Record 2
Diffraction record for EuGa2S4. The X-ray powder pattern is computed, not measured: it uses a DFT-relaxed cell (PBE, the Materials Project) and λ = 1.5418 Å (Cu Kα).
Peak positions follow from Bragg's law for the DFT cell and can differ from measured ones.

Crystal structure
```
EuGa2S4
1.0
3.0376 -5.1915 0.0000
3.0376 5.1915 0.0000
0.0000 0.0000 10.4810
Eu Ga S
2 4 8
direct
0.0000 0.0000 0.2500
0.0000 0.0000 0.7500
0.2602 0.7384 0.0000
0.2616 0.7398 0.5000
0.7384 0.2602 0.5000
0.7398 0.2616 0.0000
0.0000 0.5000 0.3346
0.0000 0.5000 0.6654
0.1498 0.3152 0.0000
0.3152 0.1498 0.5000
0.5000 0.0000 0.1654
0.5000 0.0000 0.8346
0.6848 0.8502 0.5000
0.8502 0.6848 0.0000
```

The 10 most intense peaks (2θ from 5° to 70°), by intensity:
2θ/deg, intensity
38.39, 100
24.13, 56
16.91, 56
24.01, 53
45.96, 26
34.22, 24
58.56, 23
34.55, 23
29.71, 21
55.47, 20

Record 3
Diffraction record for EuGa2S4. The X-ray powder pattern is computed, not measured: it uses a DFT-relaxed cell (PBE, the Materials Project) and λ = 1.5418 Å (Cu Kα).
Peak positions follow from Bragg's law for the DFT cell and can differ from measured ones.

Crystal structure
```
EuGa2S4
1.0
0.0000 10.2797 10.4169
6.1684 0.0000 10.4169
6.1684 10.2797 0.0000
Eu Ga S
8 16 32
direct
0.1226 0.1226 0.6274
0.1250 0.1250 0.1250
0.3726 0.3726 0.8774
0.3750 0.3750 0.3750
0.6250 0.6250 0.6250
0.6274 0.6274 0.1226
0.8750 0.8750 0.8750
0.8774 0.8774 0.3726
0.0330 0.4664 0.8599
0.1102 0.3887 0.3646
0.1401 0.8593 0.9670
0.1407 0.8599 0.4664
0.3636 0.6354 0.6113
0.3646 0.6364 0.1102
0.3887 0.1102 0.6364
0.4664 0.0330 0.1407
0.5336 0.9670 0.8593
0.6113 0.8898 0.3636
0.6354 0.3636 0.8898
0.6364 0.3646 0.3887
0.8593 0.1401 0.5336
0.8599 0.1407 0.0330
0.8898 0.6113 0.6354
0.9670 0.5336 0.1401
0.0824 0.0847 0.4174
0.0842 0.5825 0.4152
0.0845 0.5826 0.9153
0.0847 0.0824 0.9155
0.1496 0.3481 0.1600
0.1578 0.8400 0.6519
0.1600 0.8422 0.1496
0.1861 0.3115 0.6559
0.3115 0.1861 0.3464
0.3441 0.6536 0.8139
0.3464 0.6559 0.3115
0.3481 0.1496 0.8422
0.4152 0.4181 0.0842
0.4174 0.9155 0.0824
0.4175 0.9158 0.5819
0.4181 0.4152 0.5825
0.5819 0.5848 0.4175
0.5825 0.0842 0.4181
0.5826 0.0845 0.9176
0.5848 0.5819 0.9158
0.6519 0.8504 0.1578
0.6536 0.3441 0.6885
0.6559 0.3464 0.1861
0.6885 0.8139 0.6536
0.8139 0.6885 0.3441
0.8400 0.1578 0.8504
0.8422 0.1600 0.3481
0.8504 0.6519 0.8400
0.9153 0.9176 0.0845
0.9155 0.4174 0.0847
0.9158 0.4175 0.5848
0.9176 0.9153 0.5826
```

The 10 most intense peaks (2θ from 5° to 70°), by intensity:
2θ/deg, intensity
23.98, 100
38.17, 68
29.83, 43
24.33, 32
16.76, 31
34.44, 27
46.19, 25
39.08, 16
48.41, 15
45.59, 14

Record 4
Diffraction record for EuGa2Sb2. The X-ray powder pattern is computed, not measured: it uses a DFT-relaxed cell (PBE, the Materials Project) and λ = 1.5418 Å (Cu Kα).
Peak positions follow from Bragg's law for the DFT cell and can differ from measured ones.

Crystal structure
```
EuGa2Sb2
1.0
18.2895 0.0000 0.0000
0.0000 4.4004 0.0000
0.0000 0.0000 6.6988
Eu Ga Sb
4 8 8
direct
0.1161 0.2500 0.2249
0.3839 0.7500 0.7249
0.6161 0.2500 0.2751
0.8839 0.7500 0.7751
0.0693 0.7500 0.5568
0.2081 0.7500 0.5325
0.2919 0.2500 0.0325
0.4307 0.2500 0.0568
0.5693 0.7500 0.9432
0.7081 0.7500 0.9675
0.7919 0.2500 0.4675
0.9307 0.2500 0.4432
0.0305 0.2500 0.7723
0.2114 0.7500 0.9391
0.2886 0.2500 0.4391
0.4695 0.7500 0.2723
0.5305 0.2500 0.7277
0.7114 0.7500 0.5609
0.7886 0.2500 0.0609
0.9695 0.7500 0.2277
```

The 10 most intense peaks (2θ from 5° to 70°), by intensity:
2θ/deg, intensity
35.07, 100
28.36, 78
32.26, 71
31.21, 62
41.02, 51
28.14, 42
26.11, 40
35.84, 36
53.13, 34
49.96, 32

Record 5
Diffraction record for EuGa2Te4. The X-ray powder pattern is computed, not measured: it uses a DFT-relaxed cell (PBE, the Materials Project) and λ = 1.5418 Å (Cu Kα).
Peak positions follow from Bragg's law for the DFT cell and can differ from measured ones.

Crystal structure
```
EuGa2Te4
1.0
3.4072 -5.8418 0.0000
3.4072 5.8418 0.0000
0.0000 0.0000 11.7153
Eu Ga Te
2 4 8
direct
0.0000 0.0000 0.2500
0.0000 0.0000 0.7500
0.2574 0.7409 0.0000
0.2591 0.7426 0.5000
0.7409 0.2574 0.5000
0.7426 0.2591 0.0000
0.0000 0.5000 0.1769
0.0000 0.5000 0.8231
0.1606 0.3086 0.5000
0.3086 0.1606 0.0000
0.5000 0.0000 0.3231
0.5000 0.0000 0.6769
0.6914 0.8394 0.0000
0.8394 0.6914 0.5000
```

The 10 most intense peaks (2θ from 5° to 70°), by intensity:
2θ/deg, intensity
27.43, 100
34.09, 80
30.56, 39
15.06, 26
46.94, 22
47.19, 17
47.25, 16
61.68, 14
21.40, 14
51.70, 13

Record 6
Diffraction record for Eu2ZnGa. The X-ray powder pattern is computed, not measured: it uses a DFT-relaxed cell (PBE, the Materials Project) and λ = 1.5418 Å (Cu Kα).
Peak positions follow from Bragg's law for the DFT cell and can differ from measured ones.

Crystal structure
```
Eu2ZnGa
1.0
0.0000 3.7605 3.7605
3.7605 0.0000 3.7605
3.7605 3.7605 0.0000
Eu Zn Ga
2 1 1
direct
0.2500 0.2500 0.2500
0.7500 0.7500 0.7500
0.0000 0.0000 0.0000
0.5000 0.5000 0.5000
```

The 6 most intense peaks (2θ from 5° to 70°), by intensity:
2θ/deg, intensity
33.71, 100
60.29, 37
48.41, 18
23.66, 15
54.57, 7
41.60, 5

Record 7
Diffraction record for Eu2GdTaO6. The X-ray powder pattern is computed, not measured: it uses a DFT-relaxed cell (PBE, the Materials Project) and λ = 1.5418 Å (Cu Kα).
Peak positions follow from Bragg's law for the DFT cell and can differ from measured ones.

Crystal structure
```
Eu2GdTaO6
1.0
0.0000 4.2305 4.2305
4.2305 0.0000 4.2305
4.2305 4.2305 0.0000
Eu Gd Ta O
2 1 1 6
direct
0.2500 0.2500 0.2500
0.7500 0.7500 0.7500
0.0000 0.0000 0.0000
0.5000 0.5000 0.5000
0.2644 0.2644 0.7356
0.2644 0.7356 0.2644
0.2644 0.7356 0.7356
0.7356 0.2644 0.2644
0.7356 0.2644 0.7356
0.7356 0.7356 0.2644
```

The 7 most intense peaks (2θ from 5° to 70°), by intensity:
2θ/deg, intensity
29.87, 100
53.02, 41
42.75, 28
62.05, 17
21.00, 1
18.16, 1
36.80, 1

Record 8
Diffraction record for EuGdTi2O7. The X-ray powder pattern is computed, not measured: it uses a DFT-relaxed cell (PBE, the Materials Project) and λ = 1.5418 Å (Cu Kα).
Peak positions follow from Bragg's law for the DFT cell and can differ from measured ones.

Crystal structure
```
EuGdTi2O7
1.0
-3.6203 3.6527 5.1531
3.6203 -3.6527 5.1531
3.6203 3.6527 -5.1531
Eu Gd Ti O
2 2 4 14
direct
0.5000 0.0000 0.0000
0.5000 0.5000 0.5000
0.0000 0.0000 0.0000
0.5000 0.0000 0.5000
0.0000 0.0000 0.5000
0.0000 0.5000 0.0000
0.0000 0.5000 0.5000
0.5000 0.5000 0.0000
0.0744 0.4222 0.2481
0.0744 0.8263 0.6522
0.0766 0.8266 0.2500
0.3254 0.5754 0.7500
0.3259 0.1737 0.7481
0.3259 0.5778 0.1522
0.3730 0.1230 0.2500
0.6270 0.8770 0.7500
0.6741 0.4222 0.8478
0.6741 0.8263 0.2519
0.6746 0.4246 0.2500
0.9234 0.1734 0.7500
0.9256 0.1737 0.3478
0.9256 0.5778 0.7519
```

The 10 most intense peaks (2θ from 5° to 70°), by intensity:
2θ/deg, intensity
29.99, 100
30.17, 99
50.12, 63
34.87, 58
14.91, 54
59.46, 41
59.78, 27
28.73, 22
38.02, 21
49.94, 16

Record 9
Diffraction record for EuGdRh2. The X-ray powder pattern is computed, not measured: it uses a DFT-relaxed cell (PBE, the Materials Project) and λ = 1.5418 Å (Cu Kα).
Peak positions follow from Bragg's law for the DFT cell and can differ from measured ones.

Crystal structure
```
EuGdRh2
1.0
0.0000 3.5015 3.5015
3.5015 0.0000 3.5015
3.5015 3.5015 0.0000
Eu Gd Rh
1 1 2
direct
0.0000 0.0000 0.0000
0.5000 0.5000 0.5000
0.2500 0.2500 0.2500
0.7500 0.7500 0.7500
```

The 6 most intense peaks (2θ from 5° to 70°), by intensity:
2θ/deg, intensity
36.28, 100
65.27, 35
52.25, 17
25.44, 4
58.99, 2
44.83, 1

Record 10
Diffraction record for EuGd2S4. The X-ray powder pattern is computed, not measured: it uses a DFT-relaxed cell (PBE, the Materials Project) and λ = 1.5418 Å (Cu Kα).
Peak positions follow from Bragg's law for the DFT cell and can differ from measured ones.

Crystal structure
```
EuGd2S4
1.0
-4.2524 4.2524 4.2249
4.2524 -4.2524 4.2249
4.2524 4.2524 -4.2249
Eu Gd S
2 4 8
direct
0.0000 0.0000 0.0000
0.7500 0.2500 0.5000
0.2485 0.6250 0.1235
0.3750 0.4985 0.6235
0.5015 0.1250 0.8765
0.8750 0.7515 0.3765
0.1328 0.7307 0.7486
0.1342 0.2322 0.7514
0.2693 0.0178 0.4020
0.4807 0.3828 0.2486
0.6158 0.8672 0.5980
0.6172 0.8658 0.0980
0.7678 0.5193 0.9020
0.9822 0.3842 0.2514
```

The 10 most intense peaks (2θ from 5° to 70°), by intensity:
2θ/deg, intensity
25.71, 100
33.33, 59
39.70, 37
33.52, 29
47.86, 25
50.44, 25
39.82, 17
67.97, 17
48.09, 13
55.07, 13

Record 11
Diffraction record for EuGe. The X-ray powder pattern is computed, not measured: it uses a DFT-relaxed cell (PBE, the Materials Project) and λ = 1.5418 Å (Cu Kα).
Peak positions follow from Bragg's law for the DFT cell and can differ from measured ones.

Crystal structure
```
EuGe
1.0
2.3274 -5.6241 0.0000
2.3274 5.6241 0.0000
0.0000 0.0000 4.1294
Eu Ge
2 2
direct
0.1393 0.8607 0.7500
0.8607 0.1393 0.2500
0.4274 0.5726 0.7500
0.5726 0.4274 0.2500
```

The 10 most intense peaks (2θ from 5° to 70°), by intensity:
2θ/deg, intensity
30.00, 100
37.73, 53
38.71, 47
30.62, 46
31.82, 25
26.78, 24
43.85, 20
69.41, 19
54.43, 18
59.89, 16

Record 12
Diffraction record for Eu3Ge5. The X-ray powder pattern is computed, not measured: it uses a DFT-relaxed cell (PBE, the Materials Project) and λ = 1.5418 Å (Cu Kα).
Peak positions follow from Bragg's law for the DFT cell and can differ from measured ones.

Crystal structure
```
Eu3Ge5
1.0
4.8628 -3.9623 0.0000
4.8628 3.9623 0.0000
0.0000 0.0000 9.8088
Eu Ge
6 10
direct
0.1527 0.8473 0.7500
0.2946 0.2946 0.0000
0.2946 0.2946 0.5000
0.7054 0.7054 0.0000
0.7054 0.7054 0.5000
0.8473 0.1527 0.2500
0.0179 0.5949 0.2500
0.1911 0.8089 0.0580
0.1911 0.8089 0.4420
0.4051 0.9821 0.2500
0.4499 0.5501 0.2500
0.5501 0.4499 0.7500
0.5949 0.0179 0.7500
0.8089 0.1911 0.5580
0.8089 0.1911 0.9420
0.9821 0.4051 0.7500
```

The 10 most intense peaks (2θ from 5° to 70°), by intensity:
2θ/deg, intensity
34.45, 100
36.65, 51
28.97, 46
35.21, 46
40.82, 38
35.06, 38
40.29, 35
25.80, 34
36.97, 29
30.50, 28